# HoSi
Simulated powder diffractogram, copper Kα. Input: a cell relaxed with PBE.
Intensities are scaled so that the largest is 100.

Peak list (12 most intense, 2θ = 10–90°, by angle)
- 22.6 deg, intensity 27, hkl 2 0 0
- 27.6 deg, intensity 31, hkl 2 0 1
- 28.2 deg, intensity 40, hkl 0 1 1
- 30.4 deg, intensity 100, hkl 1 1 1
- 32.7 deg, intensity 73, hkl 2 1 0
- 33.6 deg, intensity 80, hkl 1 0 2
- 36.4 deg, intensity 41, hkl 2 1 1
- 37.8 deg, intensity 45, hkl 3 0 1
- 41.3 deg, intensity 37, hkl 1 1 2
- 47.6 deg, intensity 24, hkl 0 2 0
- 53.3 deg, intensity 41, hkl 3 1 2
- 59.5 deg, intensity 31, hkl 1 2 2

Cell and atoms:
```
data_HoSi
_chemical_formula_sum 'Ho4 Si4'
_cell_length_a 7.871
_cell_length_b 3.820
_cell_length_c 5.668
_cell_angle_alpha 90.00
_cell_angle_beta 90.00
_cell_angle_gamma 90.00
_symmetry_space_group_name_H-M 'P 1'
_symmetry_Int_Tables_number 1
_symmetry_space_group_name_Hall 'P 1'
loop_
_atom_site_label
_atom_site_type_symbol
_atom_site_fract_x
_atom_site_fract_y
_atom_site_fract_z
Ho1 Ho 0.179 0.250 0.115
Ho2 Ho 0.321 0.750 0.615
Ho3 Ho 0.679 0.250 0.385
Ho4 Ho 0.821 0.750 0.885
Si1 Si 0.038 0.250 0.630
Si2 Si 0.462 0.750 0.130
Si3 Si 0.538 0.250 0.870
Si4 Si 0.962 0.750 0.370
```